# 1
Structure and theoretical powder diffraction line list of LiFePH2O5 (a structure optimized by DFT (GGA+U); Cu Kα, 1.54184 Å).
Kinematic intensities with the Lorentz-polarization factor, no thermal factor.

Most intense lines, 10 to 90 degrees two-theta, in order of rising 2θ:
2θ (°), I_rel
13.4, 100
19.4, 28
20.5, 69
26.6, 80
29.1, 97
35.3, 39
37.3, 19
50.3, 16

Atomic structure:
```
data_LiFePH2O5
_chemical_formula_sum 'Li4 Fe4 P4 H8 O20'
_symmetry_space_group_name_H-M 'P n a 21'
_symmetry_Int_Tables_number 33
_symmetry_space_group_name_Hall 'P 2c -2n'
_cell_length_a 11.0214
_cell_length_b 8.2151
_cell_length_c 5.0861
_cell_angle_alpha 90.00
_cell_angle_beta 90.00
_cell_angle_gamma 90.00
loop_
_atom_site_label
_atom_site_type_symbol
_atom_site_fract_x
_atom_site_fract_y
_atom_site_fract_z
Li1 Li 0.1848 0.1773 0.0000
Fe1 Fe 0.1201 0.3689 0.4943
P1 P 0.1732 0.5791 0.9971
H1 H 0.0167 0.9541 0.3307
H2 H 0.0435 0.8297 0.5636
O1 O 0.0146 0.0895 0.9979
O2 O 0.0551 0.6726 0.9295
O3 O 0.1675 0.4035 0.8806
O4 O 0.1918 0.5641 0.2998
O5 O 0.2176 0.1727 0.3767
```


# 2
Structure and theoretical powder diffraction line list of Li3Fe2P4HO14 (a structure optimized by DFT (GGA+U); Cu Kα, 1.54184 Å).
Kinematic intensities with the Lorentz-polarization factor, no thermal factor.

Most intense lines, 10 to 90 degrees two-theta, in order of rising 2θ:
2θ (°), I_rel
14.6, 53
19.8, 35
20.5, 100
21.8, 29
22.0, 46
22.2, 56
32.7, 29
34.0, 33

Atomic structure:
```
data_Li3Fe2P4HO14
_chemical_formula_sum 'Li3 Fe2 P4 H1 O14'
_symmetry_space_group_name_H-M 'P -1'
_symmetry_Int_Tables_number 2
_symmetry_space_group_name_Hall '-P 1'
_cell_length_a 5.1180
_cell_length_b 5.2366
_cell_length_c 12.4539
_cell_angle_alpha 78.96
_cell_angle_beta 89.18
_cell_angle_gamma 61.30
loop_
_atom_site_label
_atom_site_type_symbol
_atom_site_fract_x
_atom_site_fract_y
_atom_site_fract_z
Li1 Li 0.0000 0.0000 0.0000
Li2 Li 0.2100 0.6937 0.5008
Fe1 Fe 0.1360 0.7946 0.2686
P1 P 0.2938 0.2838 0.1277
P2 P 0.4636 0.9266 0.6431
H1 H 0.5000 0.5000 0.0000
O1 O 0.0884 0.5916 0.1505
O2 O 0.1459 0.1770 0.5989
O3 O 0.1481 0.0875 0.1334
O4 O 0.2937 0.9832 0.3790
O5 O 0.4297 0.8875 0.7745
O6 O 0.4558 0.2914 0.0233
O7 O 0.4628 0.3723 0.3867
```